(1)
Theoretical powder diffractogram of Li4Mn3CoP4O16 for λ = 1.5418 Å (Cu Kα), from a structure optimized by DFT (PBE+U).

Crystal structure
```
data_Li4Mn3CoP4O16
_symmetry_space_group_name_H-M 'P 1 m 1'
_symmetry_Int_Tables_number 6
_symmetry_space_group_name_Hall 'P -2y'
_cell_length_a 4.7748
_cell_length_b 6.1188
_cell_length_c 10.5286
_cell_angle_alpha 90.00
_cell_angle_beta 90.20
_cell_angle_gamma 90.00
loop_
_atom_site_label
_atom_site_fract_x
_atom_site_fract_y
_atom_site_fract_z
Li1 0.0000 0.2490 0.0000
Li2 0.5005 0.2495 0.5015
Mn1 0.0221 0.5000 0.7204
Mn2 0.4770 0.5000 0.2185
Mn3 0.9784 0.0000 0.2813
Co1 0.5248 0.0000 0.7793
P1 0.0879 0.0000 0.5966
P2 0.4152 0.0000 0.0914
P3 0.5805 0.5000 0.9067
P4 0.9143 0.5000 0.4080
O1 0.2080 0.0000 0.4593
O2 0.2238 0.2005 0.6667
O3 0.2363 0.5000 0.4052
O4 0.2590 0.5000 0.9055
O5 0.2819 0.2012 0.1621
O6 0.2932 0.0000 0.9545
O7 0.7091 0.2962 0.8362
O8 0.7103 0.5000 0.0427
O9 0.7373 0.0000 0.0966
O10 0.7655 0.0000 0.5998
O11 0.7814 0.2982 0.3380
O12 0.7912 0.5000 0.5444
```

Main lines, sorted by position (10 to 90 degrees two-theta):
Position (°2θ)	I/Imax
16.8	36
20.4	71
25.1	100
29.2	91
34.9	63
35.0	61
35.9	36
37.2	25
51.6	50
60.8	26



(2)
Theoretical powder diffractogram of Li4Mn5CoP6O24 for λ = 1.5418 Å (Cu Kα), from a structure optimized by DFT (PBE+U).

Crystal structure
```
data_Li4Mn5CoP6O24
_symmetry_space_group_name_H-M 'P 1'
_symmetry_Int_Tables_number 1
_symmetry_space_group_name_Hall 'P 1'
_cell_length_a 8.5334
_cell_length_b 8.5380
_cell_length_c 8.6175
_cell_angle_alpha 63.32
_cell_angle_beta 63.36
_cell_angle_gamma 62.76
loop_
_atom_site_label
_atom_site_fract_x
_atom_site_fract_y
_atom_site_fract_z
Li1 0.0000 0.0000 0.0000
Li2 0.1161 0.4961 0.9003
Li3 0.5037 0.9028 0.1007
Li4 0.6925 0.3078 0.5104
Mn1 0.2030 0.0065 0.6056
Mn2 0.3650 0.1450 0.7437
Mn3 0.6989 0.4922 0.0948
Mn4 0.8556 0.6380 0.2592
Mn5 0.9957 0.7988 0.3987
Co1 0.5037 0.3003 0.9042
P1 0.1030 0.1930 0.1963
P2 0.2962 0.7058 0.0016
P3 0.3893 0.6119 0.5037
P4 0.6012 0.0902 0.3154
P5 0.8085 0.9028 0.8082
P6 0.9113 0.4015 0.6878
O1 0.0376 0.0429 0.2128
O2 0.0971 0.7280 0.1448
O3 0.1010 0.2341 0.6770
O4 0.1633 0.1415 0.3582
O5 0.2386 0.6565 0.4254
O6 0.2598 0.2166 0.0069
O7 0.2737 0.9039 0.8563
O8 0.3329 0.5501 0.9342
O9 0.3429 0.7637 0.5810
O10 0.4056 0.4171 0.6545
O11 0.4462 0.6762 0.0720
O12 0.4465 0.0660 0.5022
O13 0.5486 0.1198 0.1528
O14 0.5858 0.5901 0.3587
O15 0.6141 0.0600 0.8194
O16 0.6594 0.2456 0.2954
O17 0.7503 0.3456 0.7179
O18 0.7683 0.9004 0.3245
O19 0.7796 0.7507 0.9992
O20 0.8598 0.8409 0.6469
O21 0.8915 0.4560 0.8447
O22 0.9339 0.5557 0.5002
O23 0.9501 0.3893 0.1799
O24 0.9595 0.9665 0.7913
```

Main lines, sorted by position (10 to 90 degrees two-theta):
Position (°2θ)	I/Imax
19.7	83
20.0	43
23.6	62
23.7	62
23.9	55
32.9	50
33.1	100
34.3	34
34.8	58
48.6	22



(3)
Theoretical powder diffractogram of Li5Mn2Co2P4O16 for λ = 1.5418 Å (Cu Kα), from a structure optimized by DFT (PBE+U).

Crystal structure
```
data_Li5Mn2Co2P4O16
_symmetry_space_group_name_H-M 'P 1'
_symmetry_Int_Tables_number 1
_symmetry_space_group_name_Hall 'P 1'
_cell_length_a 4.8766
_cell_length_b 6.2457
_cell_length_c 10.4306
_cell_angle_alpha 91.78
_cell_angle_beta 90.74
_cell_angle_gamma 90.29
loop_
_atom_site_label
_atom_site_fract_x
_atom_site_fract_y
_atom_site_fract_z
Li1 0.0000 0.0000 0.0000
Li2 0.0308 0.4949 0.0145
Li3 0.4040 0.5274 0.6364
Li4 0.5363 0.9946 0.4983
Li5 0.6255 0.4815 0.3769
Mn1 0.0648 0.2322 0.2846
Mn2 0.9647 0.7738 0.7271
Co1 0.4846 0.2384 0.7972
Co2 0.5447 0.7704 0.2122
P1 0.1212 0.7494 0.4116
P2 0.4204 0.7554 0.9094
P3 0.6084 0.2573 0.1017
P4 0.9100 0.2594 0.6012
O1 0.2234 0.2564 0.6119
O2 0.2247 0.7577 0.5541
O3 0.2425 0.5452 0.3433
O4 0.2591 0.9464 0.3468
O5 0.2815 0.9540 0.8460
O6 0.2915 0.2510 0.1022
O7 0.2981 0.7417 0.0458
O8 0.3049 0.5586 0.8267
O9 0.7292 0.4529 0.1838
O10 0.7306 0.2673 0.9654
O11 0.7355 0.7680 0.9087
O12 0.7413 0.0582 0.1664
O13 0.7717 0.0608 0.6643
O14 0.7836 0.4625 0.6688
O15 0.8057 0.7559 0.4023
O16 0.8080 0.2503 0.4578
```

Main lines, sorted by position (10 to 90 degrees two-theta):
Position (°2θ)	I/Imax
17.0	50
20.0	42
20.2	46
24.5	51
25.0	30
28.6	100
34.3	32
35.0	82
35.4	43
37.8	28